# SrGaCo2O4
Simulated PXRD pattern, CuKα. Input: a DFT-relaxed cell (PBE+U, Alexandria).
Intensities are scaled so that the largest is 100.

Structural model:
Lattice parameters (Å, degrees): 5.121 5.121 5.121 114.65 114.65 99.55
Positions (direct):
Sr (0.000, 0.000, 0.000)
Ga (0.500, 0.500, 0.000)
Co (0.250, 0.750, 0.500)
Co (0.750, 0.250, 0.500)
O (0.131, 0.511, 0.000)
O (0.489, 0.489, 0.620)
O (0.511, 0.131, 0.000)
O (0.869, 0.869, 0.380)

Principal peaks in the range 2θ from 15° to 90°, sorted by position:
Position (°2θ)	Rel. int.
32.38	44.8
35.55	100.0
46.45	28.8
59.83	45.6
65.80	16.5
75.26	10.0